Entry 1:
Structure and calculated PXRD pattern of Pr2S2O (a structure optimized by DFT (GGA-PBE); copper Kα).
Lines closer than 0.1° are merged.

Top 10 peaks for 10° ≤ 2θ ≤ 90°, sorted by position:
d [Å]  2θ/deg  I (rel.)
3.637  24.47  68
3.439  25.91  75
3.396  26.24  100
3.169  28.16  94
2.905  30.78  68
2.661  33.69  38
2.389  37.65  85
2.314  38.92  61
2.017  44.94  36
1.863  48.88  35

Structural model:
Unit cell a=7.9406 b=7.9406 c=7.2749 alpha=90.00 beta=90.00 gamma=150.57
Sites, in units of the cell vectors:
1 Pr 0.0529 0.9471 0.5000
2 Pr 0.3352 0.6648 0.4010
3 Pr 0.6648 0.3352 0.9010
4 Pr 0.9471 0.0529 0.0000
5 S 0.2990 0.7010 0.0177
6 S 0.4557 0.5443 0.6965
7 S 0.5443 0.4557 0.1965
8 S 0.7010 0.2990 0.5177
9 O 0.0937 0.9063 0.8348
10 O 0.9063 0.0937 0.3348

---

Entry 2:
Structure and calculated PXRD pattern of Pr2SO (a structure optimized by DFT (GGA-PBE); copper Kα).
Lines closer than 0.1° are merged.

Top 10 peaks for 10° ≤ 2θ ≤ 90°, sorted by position:
d [Å]  2θ/deg  I (rel.)
3.400  26.21  48
3.212  27.78  100
3.099  28.81  67
2.543  35.29  93
2.170  41.61  72
1.878  48.48  55
1.644  55.94  37
1.420  65.76  18
1.260  75.43  27
1.133  85.78  19

Structural model:
Unit cell a=7.1370 b=7.1370 c=7.1370 alpha=30.51 beta=30.51 gamma=30.51
Sites, in units of the cell vectors:
1 Pr 0.0000 0.0000 0.0000
2 Pr 0.1600 0.1600 0.1600
3 S 0.5800 0.5800 0.5800
4 O 0.7496 0.7496 0.7496

---

Entry 3:
Structure and calculated PXRD pattern of TbPrS2O (a structure optimized by DFT (GGA-PBE); copper Kα).
Lines closer than 0.1° are merged.

Top 10 peaks for 10° ≤ 2θ ≤ 90°, sorted by position:
d [Å]  2θ/deg  I (rel.)
3.519  25.31  27
3.459  25.75  100
2.809  31.86  67
2.634  34.04  16
2.297  39.22  15
2.195  41.12  39
2.020  44.87  18
1.986  45.68  29
1.730  52.94  15
1.722  53.18  29

Structural model:
Unit cell a=3.9723 b=3.9723 c=14.0766 alpha=90.00 beta=90.00 gamma=90.00
Sites, in units of the cell vectors:
1 Tb 0.2500 0.2500 0.1213
2 Tb 0.7500 0.7500 0.8787
3 Pr 0.2500 0.2500 0.5891
4 Pr 0.7500 0.7500 0.4109
5 S 0.2500 0.2500 0.2996
6 S 0.2500 0.2500 0.9094
7 S 0.7500 0.7500 0.0906
8 S 0.7500 0.7500 0.7004
9 O 0.2500 0.7500 0.5000
10 O 0.7500 0.2500 0.5000

---

Entry 4:
Structure and calculated PXRD pattern of Pr6Ti2S7O6 (a structure optimized by DFT (GGA-PBE); copper Kα).
Lines closer than 0.1° are merged.

Top 10 peaks for 10° ≤ 2θ ≤ 90°, sorted by position:
d [Å]  2θ/deg  I (rel.)
3.468  25.69  56
3.431  25.97  27
3.307  26.96  26
3.202  27.86  66
2.809  31.86  100
2.715  32.99  21
2.228  40.49  20
2.066  43.81  21
2.023  44.81  31
1.967  46.16  39

Structural model:
Unit cell a=12.1334 b=3.9333 c=16.6905 alpha=90.00 beta=97.69 gamma=90.00
Sites, in units of the cell vectors:
1 Pr 0.0226 0.2500 0.1239
2 Pr 0.0638 0.2500 0.3918
3 Pr 0.2814 0.7500 0.6240
4 Pr 0.3220 0.7500 0.9736
5 Pr 0.4059 0.2500 0.3810
6 Pr 0.4745 0.2500 0.7909
7 Pr 0.5255 0.7500 0.2091
8 Pr 0.5941 0.7500 0.6190
9 Pr 0.6780 0.2500 0.0264
10 Pr 0.7186 0.2500 0.3760
11 Pr 0.9362 0.7500 0.6082
12 Pr 0.9774 0.7500 0.8761
13 Ti 0.2042 0.2500 0.8140
14 Ti 0.2210 0.7500 0.2652
15 Ti 0.7790 0.2500 0.7348
16 Ti 0.7958 0.7500 0.1860
17 S 0.0018 0.7500 0.2551
18 S 0.0993 0.2500 0.5678
19 S 0.1165 0.2500 0.9640
20 S 0.2014 0.7500 0.1265
21 S 0.2333 0.7500 0.4295
22 S 0.4214 0.2500 0.5590
23 S 0.4470 0.2500 0.0803
24 S 0.5530 0.7500 0.9197
25 S 0.5786 0.7500 0.4410
26 S 0.7667 0.2500 0.5705
27 S 0.7986 0.2500 0.8735
28 S 0.8835 0.7500 0.0360
29 S 0.9007 0.7500 0.4322
30 S 0.9982 0.2500 0.7449
31 O 0.1814 0.7500 0.8308
32 O 0.2051 0.2500 0.2841
33 O 0.2732 0.2500 0.7240
34 O 0.3339 0.2500 0.8866
35 O 0.3712 0.7500 0.2892
36 O 0.4521 0.7500 0.7140
37 O 0.5479 0.2500 0.2860
38 O 0.6288 0.2500 0.7108
39 O 0.6661 0.7500 0.1134
40 O 0.7268 0.7500 0.2760
41 O 0.7949 0.7500 0.7159
42 O 0.8186 0.2500 0.1692

---

Entry 5:
Structure and calculated PXRD pattern of PrTiSO2 (a structure optimized by DFT (GGA-PBE); copper Kα).
Lines closer than 0.1° are merged.

Top 10 peaks for 10° ≤ 2θ ≤ 90°, sorted by position:
d [Å]  2θ/deg  I (rel.)
5.738  15.44  55
3.211  27.78  100
2.740  32.69  42
2.472  36.34  27
2.306  39.06  54
1.981  45.79  19
1.937  46.90  27
1.659  55.39  29
1.568  58.88  14
1.483  62.63  26

Structural model:
Unit cell a=3.8746 b=3.8746 c=5.7384 alpha=90.00 beta=90.00 gamma=90.00
Sites, in units of the cell vectors:
1 Pr 0.0000 0.0000 0.0000
2 Ti 0.5000 0.5000 0.3566
3 S 0.5000 0.5000 0.7771
4 O 0.0000 0.5000 0.2542
5 O 0.5000 0.0000 0.2542

---

Entry 6:
Structure and calculated PXRD pattern of PrTmSO2 (a structure optimized by DFT (GGA-PBE); copper Kα).
Lines closer than 0.1° are merged.

Top 10 peaks for 10° ≤ 2θ ≤ 90°, sorted by position:
d [Å]  2θ/deg  I (rel.)
6.118  14.48  42
3.578  24.89  24
3.393  26.27  100
2.881  31.04  53
2.745  32.62  50
2.701  33.17  41
2.689  33.32  29
2.447  36.73  30
2.039  44.43  36
1.797  50.81  22

Structural model:
Unit cell a=6.5386 b=4.0775 c=7.6483 alpha=90.00 beta=110.67 gamma=90.00
Sites, in units of the cell vectors:
1 Pr 0.1983 0.2500 0.4360
2 Pr 0.8017 0.7500 0.5640
3 Tm 0.1741 0.2500 0.9314
4 Tm 0.8259 0.7500 0.0686
5 S 0.4627 0.7500 0.7435
6 S 0.5373 0.2500 0.2565
7 O 0.0119 0.7500 0.3664
8 O 0.0287 0.7500 0.8956
9 O 0.9713 0.2500 0.1044
10 O 0.9881 0.2500 0.6336

---

Entry 7:
Structure and calculated PXRD pattern of PrYSO2 (a structure optimized by DFT (GGA-PBE); copper Kα).
Lines closer than 0.1° are merged.

Top 10 peaks for 10° ≤ 2θ ≤ 90°, sorted by position:
d [Å]  2θ/deg  I (rel.)
6.162  14.37  38
3.411  26.12  100
2.861  31.27  54
2.754  32.51  88
2.719  32.95  29
2.462  36.49  28
2.048  44.23  25
1.876  48.52  24
1.827  49.91  24
1.665  55.16  21

Structural model:
Unit cell a=6.5267 b=4.0958 c=7.6990 alpha=90.00 beta=109.24 gamma=90.00
Sites, in units of the cell vectors:
1 Pr 0.1967 0.2500 0.4316
2 Pr 0.8033 0.7500 0.5684
3 Y 0.1803 0.2500 0.9259
4 Y 0.8197 0.7500 0.0741
5 S 0.4574 0.7500 0.7449
6 S 0.5426 0.2500 0.2551
7 O 0.0157 0.7500 0.3708
8 O 0.0214 0.7500 0.8894
9 O 0.9786 0.2500 0.1106
10 O 0.9843 0.2500 0.6292

---

Entry 8:
Structure and calculated PXRD pattern of Pr2SbO (a structure optimized by DFT (GGA-PBE); copper Kα).
Lines closer than 0.1° are merged.

Top 10 peaks for 10° ≤ 2θ ≤ 90°, sorted by position:
d [Å]  2θ/deg  I (rel.)
3.114  28.66  100
3.062  29.16  57
2.686  33.36  94
2.341  38.46  69
1.860  48.98  54
1.655  55.52  23
1.606  57.36  21
1.462  63.67  21
1.456  63.95  30
1.409  66.34  26

Structural model:
Unit cell a=4.6815 b=4.6815 c=9.1861 alpha=90.00 beta=90.00 gamma=90.00
Sites, in units of the cell vectors:
1 Pr 0.2500 0.2500 0.1545
2 Pr 0.2500 0.7500 0.5000
3 Pr 0.7500 0.2500 0.5000
4 Pr 0.7500 0.7500 0.8455
5 Sb 0.2500 0.2500 0.7963
6 Sb 0.7500 0.7500 0.2037
7 O 0.2500 0.2500 0.4199
8 O 0.7500 0.7500 0.5801